Structure and simulated powder diffraction line list of SmEr4Tc (DFT lattice parameters and positions (PBE); CuKα).
Kinematic intensities with the Lorentz-polarization factor, no thermal factor.

Crystal structure
abc: 8.7475 3.7156 20.3974
angles: 90.00 90.00 90.00
Element x y z (fractional)
Sm 0.2251 0.2500 0.1879
Sm 0.2749 0.7500 0.6879
Sm 0.7251 0.2500 0.3121
Sm 0.7749 0.7500 0.8121
Er 0.0106 0.7500 0.5661
Er 0.0376 0.7500 0.2938
Er 0.1310 0.7500 0.0440
Er 0.1507 0.7500 0.8585
Er 0.3493 0.2500 0.3585
Er 0.3690 0.2500 0.5440
Er 0.4624 0.2500 0.7938
Er 0.4894 0.2500 0.0661
Er 0.5106 0.7500 0.9339
Er 0.5376 0.7500 0.2062
Er 0.6310 0.7500 0.4560
Er 0.6507 0.7500 0.6415
Er 0.8493 0.2500 0.1415
Er 0.8690 0.2500 0.9560
Er 0.9624 0.2500 0.7062
Er 0.9894 0.2500 0.4339
Tc 0.2390 0.7500 0.4549
Tc 0.2610 0.2500 0.9549
Tc 0.7390 0.7500 0.0451
Tc 0.7610 0.2500 0.5451

Main lines, low angle first (2θ = 10–90°):
| Position (°2θ) | intensity |
| --- | --- |
| 29.95 | 18 |
| 30.98 | 31 |
| 31.52 | 100 |
| 32.38 | 21 |
| 32.60 | 21 |
| 34.28 | 49 |
| 35.46 | 27 |
| 38.71 | 21 |
| 49.03 | 21 |
| 58.50 | 18 |